No. 1
The following is a calculated X-ray powder pattern of Sr10Fe3Co2Mo5O30. It was derived from DFT lattice parameters and positions (GGA+U), using CuKα.
Intensities are scaled so that the largest is 100.

Largest 6 diffraction maxima, most intense first, 2θ from 15° to 90°:
hkl 2 3 0, 31.7°, I 100
hkl 2 2 3, 31.3°, I 97
hkl 0 1 -3, 31.6°, I 48
hkl 0 3 1, 31.6°, I 47
hkl 2 5 4, 55.8°, I 39
hkl 4 5 3, 56.1°, I 39

Crystal structure
```
data_Sr10Fe3Co2Mo5O30
_cell_length_a 8.0333
_cell_length_b 9.7559
_cell_length_c 9.8800
_cell_angle_alpha 79.43
_cell_angle_beta 66.03
_cell_angle_gamma 65.69
_symmetry_space_group_name_H-M 'P -1'
_symmetry_Int_Tables_number 2
loop_
_symmetry_equiv_pos_as_xyz
'x,y,z'
'-x,-y,-z'
loop_
_atom_site_label
_atom_site_type_symbol
_atom_site_fract_x
_atom_site_fract_y
_atom_site_fract_z
Sr1 Sr 0.0502 0.2963 0.1016
Sr2 Sr 0.1520 0.9008 0.2989
Sr3 Sr 0.2542 0.5004 0.5002
Sr4 Sr 0.3520 0.0988 0.7002
Sr5 Sr 0.4483 0.7039 0.8995
Fe1 Fe 0.0000 0.0000 0.0000
Fe2 Fe 0.2002 0.1988 0.3999
Co1 Co 0.4008 0.3986 0.7999
Mo1 Mo 0.1011 0.5991 0.1989
Mo2 Mo 0.3014 0.7974 0.6004
Mo3 Mo 0.5000 0.0000 0.0000
O1 O 0.0159 0.7951 0.1028
O2 O 0.0459 0.3025 0.6056
O3 O 0.0564 0.7713 0.6134
O4 O 0.1296 0.4283 0.7873
O5 O 0.1496 0.8992 0.8011
O6 O 0.1839 0.4044 0.2995
O7 O 0.2135 0.9965 0.5048
O8 O 0.2445 0.5036 0.0075
O9 O 0.2566 0.9718 0.0141
O10 O 0.3310 0.6280 0.1847
O11 O 0.3489 0.1010 0.2014
O12 O 0.3810 0.6073 0.7001
O13 O 0.4181 0.1931 0.9047
O14 O 0.4478 0.7008 0.4026
O15 O 0.4549 0.1729 0.4150
```

No. 2
The following is a calculated X-ray powder pattern of NbFe3Co2P6O24. It was derived from DFT lattice parameters and positions (GGA+U), using CuKα.
Intensities are scaled so that the largest is 100.

Largest 6 diffraction maxima, most intense first, 2θ from 15° to 90°:
hkl 1 1 0, 20.4°, I 100
hkl 1 1 3, 24.1°, I 89
hkl 2 -1 6, 33.0°, I 75
hkl 3 0 0, 35.8°, I 42
hkl 3 -2 8, 47.3°, I 31
hkl 2 2 6, 49.5°, I 28

Crystal structure
```
data_NbFe3Co2P6O24
_cell_length_a 8.6914
_cell_length_b 8.6914
_cell_length_c 20.8805
_cell_angle_alpha 90.00
_cell_angle_beta 90.00
_cell_angle_gamma 120.00
_symmetry_space_group_name_H-M 'R 3'
_symmetry_Int_Tables_number 146
_symmetry_space_group_name_Hall 'R 3'
loop_
_atom_site_label
_atom_site_type_symbol
_atom_site_fract_x
_atom_site_fract_y
_atom_site_fract_z
Nb1 Nb 0.0000 0.0000 0.0000
Fe1 Fe 0.0000 0.0000 0.2885
Fe2 Fe 0.0000 0.0000 0.4977
Fe3 Fe 0.0000 0.0000 0.7863
Co1 Co 0.0000 0.0000 0.1493
Co2 Co 0.0000 0.0000 0.6426
P1 P 0.0068 0.7112 0.3923
P2 P 0.0349 0.3670 0.5566
O1 O 0.0038 0.8054 0.4532
O2 O 0.0079 0.1942 0.9508
O3 O 0.0145 0.8307 0.0651
O4 O 0.0186 0.1841 0.5680
O5 O 0.1398 0.4671 0.4980
O6 O 0.1399 0.6718 0.9981
O7 O 0.1670 0.4849 0.8852
O8 O 0.1689 0.6844 0.3845
```

No. 3
The following is a calculated X-ray powder pattern of Fe3CoNi2P6O24. It was derived from DFT lattice parameters and positions (GGA+U), using CuKα.
Intensities are scaled so that the largest is 100.

Largest 6 diffraction maxima, most intense first, 2θ from 15° to 90°:
hkl 1 1 0, 20.7°, I 100
hkl 1 1 3, 24.5°, I 99
hkl 1 1 6, 33.6°, I 75
hkl 3 0 0, 36.3°, I 44
hkl 1 2 8, 48.1°, I 36
hkl 4 -2 6, 50.3°, I 29

Crystal structure
```
data_Fe3CoNi2P6O24
_cell_length_a 8.5638
_cell_length_b 8.5638
_cell_length_c 20.4953
_cell_angle_alpha 90.00
_cell_angle_beta 90.00
_cell_angle_gamma 120.00
_symmetry_space_group_name_H-M 'R 3'
_symmetry_Int_Tables_number 146
_symmetry_space_group_name_Hall 'R 3'
loop_
_atom_site_label
_atom_site_type_symbol
_atom_site_fract_x
_atom_site_fract_y
_atom_site_fract_z
Fe1 Fe 0.0000 0.0000 0.0000
Fe2 Fe 0.0000 0.0000 0.2131
Fe3 Fe 0.0000 0.0000 0.5002
Co1 Co 0.0000 0.0000 0.7154
Ni1 Ni 0.0000 0.0000 0.3576
Ni2 Ni 0.0000 0.0000 0.8574
P1 P 0.0001 0.2917 0.6076
P2 P 0.0363 0.6675 0.7720
O1 O 0.0007 0.7992 0.1679
O2 O 0.0054 0.1955 0.6717
O3 O 0.0161 0.8410 0.7800
O4 O 0.0195 0.1849 0.2844
O5 O 0.1398 0.6760 0.7109
O6 O 0.1441 0.4678 0.2132
O7 O 0.1647 0.6768 0.0975
O8 O 0.1672 0.4823 0.5991
```

No. 4
The following is a calculated X-ray powder pattern of Sr4Fe2CoNiO12. It was derived from DFT lattice parameters and positions (GGA+U), using CuKα.
Intensities are scaled so that the largest is 100.

Largest 6 diffraction maxima, most intense first, 2θ from 15° to 90°:
hkl 1 1 0, 32.4°, I 100
hkl 2 0 8, 46.5°, I 38
hkl 3 0 0, 57.9°, I 28
hkl 0 2 16, 67.8°, I 11
hkl 2 2 0, 68.0°, I 11
hkl 1 0 16, 57.7°, I 9

Crystal structure
```
data_Sr4Fe2CoNiO12
_cell_length_a 5.5178
_cell_length_b 5.5178
_cell_length_c 27.1110
_cell_angle_alpha 90.00
_cell_angle_beta 90.00
_cell_angle_gamma 120.00
_symmetry_space_group_name_H-M 'R 3 m'
_symmetry_Int_Tables_number 160
_symmetry_space_group_name_Hall 'R 3 -2"'
loop_
_atom_site_label
_atom_site_type_symbol
_atom_site_fract_x
_atom_site_fract_y
_atom_site_fract_z
Sr1 Sr 0.0000 0.0000 0.0000
Sr2 Sr 0.0000 0.0000 0.2486
Sr3 Sr 0.0000 0.0000 0.4982
Sr4 Sr 0.0000 0.0000 0.7494
Fe1 Fe 0.0000 0.0000 0.6240
Fe2 Fe 0.0000 0.0000 0.8732
Co1 Co 0.0000 0.0000 0.3751
Ni1 Ni 0.0000 0.0000 0.1243
O1 O 0.0050 0.5025 0.4996
O2 O 0.0068 0.5034 0.9999
O3 O 0.1676 0.3352 0.5825
O4 O 0.1719 0.3439 0.0805
```

No. 5
The following is a calculated X-ray powder pattern of Fe2CoO4. It was derived from DFT lattice parameters and positions (GGA+U), using CuKα.
Intensities are scaled so that the largest is 100.

Largest 6 diffraction maxima, most intense first, 2θ from 15° to 90°:
hkl 3 1 1, 34.7°, I 100
hkl 4 4 0, 61.2°, I 45
hkl 5 1 1, 55.8°, I 37
hkl 2 2 0, 29.5°, I 31
hkl 4 0 0, 42.2°, I 19
hkl 5 5 3, 87.5°, I 17

Crystal structure
Cell lengths 8.5633, 8.5633, 8.5633 Å; angles 90.00, 90.00, 90.00 degrees
Space group Fd-3m (No. 227, origin choice 2)
Asymmetric unit:
Fe 0.0000 0.0000 0.0000 (multiplicity 16)
Co 0.1250 0.1250 0.6250 (multiplicity 8)
O 0.0106 0.0106 0.2394 (multiplicity 32)

Which formula does entry 3 have? Fe3CoNi2P6O24